Computed XRD peak list of NaPdO2 for Cu Kα (weighted mean of Kα1 and Kα2), from the GGA-PBE geometry in the Materials Project.
Kinematic intensities with the Lorentz-polarization factor, no thermal factor.

Most intense lines, 10° ≤ 2θ ≤ 90°, by angle:
2θ (°)	I/Imax
16.8	100
30.2	23
32.8	23
33.3	25
34.3	39
36.7	45
40.6	64
55.0	25

Structure:
```
NaPdO2
1.0
2.9828 -1.5442 0.0000
2.9828 1.5442 0.0000
-2.3016 0.0000 5.2694
Na Pd O
1 1 2
Direct
0.0000 0.0000 0.0000 Na
0.5000 0.5000 0.5000 Pd
0.2155 0.2155 0.7113 O
0.7845 0.7845 0.2887 O
```